# Mo8P2C3N3
Simulated PXRD pattern, a wavelength of 1.5418 Å. Input: DFT lattice parameters and positions (GGA-PBE).

Top 10 peaks for 15° ≤ 2θ ≤ 90°, by angle:
- d 2.717, I 27, hkl 0 0 8
- d 2.622, I 67, hkl 1 0 2
- d 2.531, I 22, hkl 0 1 3
- d 2.419, I 20, hkl 1 0 4
- d 2.295, I 73, hkl 0 1 5
- d 2.166, I 100, hkl 1 0 6
- d 2.038, I 19, hkl 1 0 7
- d 1.560, I 52, hkl 1 1 0
- d 1.504, I 30, hkl 1 0 12
- d 1.353, I 19, hkl 1 1 8

Atomic structure:
```
data_Mo8P2C3N3
_chemical_formula_sum 'Mo8 P2 C3 N3'
_cell_length_a 3.1195
_cell_length_b 3.1195
_cell_length_c 21.7352
_cell_angle_alpha 90.00
_cell_angle_beta 90.00
_cell_angle_gamma 120.00
_space_group_name_H-M_alt 'P -3 m 1'
_space_group_IT_number 164
_space_group_name_Hall '-P 3 2"'
loop_
_atom_site_label
_atom_site_type_symbol
_atom_site_fract_x
_atom_site_fract_y
_atom_site_fract_z
Mo1 Mo 0.0000 0.0000 0.1699
Mo2 Mo 0.0000 0.0000 0.3278
Mo3 Mo 0.3333 0.6667 0.5543
Mo4 Mo 0.3333 0.6667 0.9517
P1 P 0.3333 0.6667 0.7531
C1 C 0.0000 0.0000 0.5000
C2 C 0.3333 0.6667 0.3833
N1 N 0.0000 0.0000 0.0000
N2 N 0.3333 0.6667 0.1091
```

---

# Mo4CS2N
Simulated PXRD pattern, a wavelength of 1.5418 Å. Input: DFT lattice parameters and positions (GGA-PBE).

Top 10 peaks for 15° ≤ 2θ ≤ 90°, by angle:
- d 3.035, I 14, hkl 0 0 4
- d 2.685, I 25, hkl 1 0 0
- d 2.622, I 23, hkl 1 0 1
- d 2.237, I 100, hkl 1 0 3
- d 2.011, I 12, hkl 0 1 4
- d 1.616, I 11, hkl 0 1 6
- d 1.550, I 24, hkl 1 1 0
- d 1.457, I 12, hkl 1 0 7
- d 1.274, I 16, hkl 0 2 3
- d 1.231, I 12, hkl 1 1 6

Atomic structure:
```
data_Mo4CS2N
_chemical_formula_sum 'Mo4 C1 S2 N1'
_cell_length_a 3.1005
_cell_length_b 3.1005
_cell_length_c 12.1397
_cell_angle_alpha 90.00
_cell_angle_beta 90.00
_cell_angle_gamma 120.00
_space_group_name_H-M_alt 'P -3 m 1'
_space_group_IT_number 164
_space_group_name_Hall '-P 3 2"'
loop_
_atom_site_label
_atom_site_type_symbol
_atom_site_fract_x
_atom_site_fract_y
_atom_site_fract_z
Mo1 Mo 0.3333 0.6667 0.0936
Mo2 Mo 0.3333 0.6667 0.3924
C1 C 0.0000 0.0000 0.0000
S1 S 0.3333 0.6667 0.7474
N1 N 0.0000 0.0000 0.5000
```

---

# SbMo3CN
Simulated PXRD pattern, a wavelength of 1.5418 Å. Input: DFT lattice parameters and positions (GGA-PBE).

Top 10 peaks for 15° ≤ 2θ ≤ 90°, by angle:
- d 2.809, I 9, hkl 1 0 0
- d 2.774, I 19, hkl 1 0 1
- d 2.536, I 13, hkl 1 0 3
- d 2.371, I 100, hkl 0 1 4
- d 2.210, I 20, hkl 0 0 8
- d 2.199, I 14, hkl 1 0 5
- d 1.622, I 28, hkl 1 1 0
- d 1.339, I 16, hkl 2 0 4
- d 1.307, I 22, hkl 1 1 8
- d 1.305, I 16, hkl 0 1 12

Atomic structure:
```
data_SbMo3CN
_chemical_formula_sum 'Sb2 Mo6 C2 N2'
_cell_length_a 3.2436
_cell_length_b 3.2436
_cell_length_c 17.6797
_cell_angle_alpha 90.00
_cell_angle_beta 90.00
_cell_angle_gamma 120.00
_space_group_name_H-M_alt 'P -3 m 1'
_space_group_IT_number 164
_space_group_name_Hall '-P 3 2"'
loop_
_atom_site_label
_atom_site_type_symbol
_atom_site_fract_x
_atom_site_fract_y
_atom_site_fract_z
Sb1 Sb 0.0000 0.0000 0.2470
Mo1 Mo 0.0000 0.0000 0.0000
Mo2 Mo 0.0000 0.0000 0.5000
Mo3 Mo 0.3333 0.6667 0.1216
Mo4 Mo 0.3333 0.6667 0.3732
C1 C 0.3333 0.6667 0.5726
N1 N 0.3333 0.6667 0.9331
```

---

# SiMo3CN
Simulated PXRD pattern, a wavelength of 1.5418 Å. Input: DFT lattice parameters and positions (GGA-PBE).

Top 10 peaks for 15° ≤ 2θ ≤ 90°, by angle:
- d 2.944, I 18, hkl 0 0 6
- d 2.625, I 47, hkl 1 0 1
- d 2.542, I 19, hkl 1 0 2
- d 2.275, I 100, hkl 1 0 4
- d 2.208, I 19, hkl 0 0 8
- d 2.122, I 52, hkl 0 1 5
- d 1.578, I 21, hkl 0 1 9
- d 1.532, I 33, hkl 1 1 0
- d 1.271, I 15, hkl 0 2 4
- d 1.259, I 18, hkl 1 1 8

Atomic structure:
```
data_SiMo3CN
_chemical_formula_sum 'Si2 Mo6 C2 N2'
_cell_length_a 3.0648
_cell_length_b 3.0648
_cell_length_c 17.6658
_cell_angle_alpha 90.00
_cell_angle_beta 90.00
_cell_angle_gamma 120.00
_space_group_name_H-M_alt 'P -3 m 1'
_space_group_IT_number 164
_space_group_name_Hall '-P 3 2"'
loop_
_atom_site_label
_atom_site_type_symbol
_atom_site_fract_x
_atom_site_fract_y
_atom_site_fract_z
Si1 Si 0.0000 0.0000 0.2498
Mo1 Mo 0.0000 0.0000 0.0000
Mo2 Mo 0.0000 0.0000 0.5000
Mo3 Mo 0.3333 0.6667 0.1430
Mo4 Mo 0.3333 0.6667 0.3610
C1 C 0.3333 0.6667 0.5737
N1 N 0.3333 0.6667 0.9266
```

---

# Si2Mo8C3N3
Simulated PXRD pattern, a wavelength of 1.5418 Å. Input: DFT lattice parameters and positions (GGA-PBE).

Top 10 peaks for 15° ≤ 2θ ≤ 90°, by angle:
- d 2.784, I 16, hkl 0 0 8
- d 2.615, I 47, hkl 1 0 2
- d 2.530, I 22, hkl 0 1 3
- d 2.423, I 27, hkl 1 0 4
- d 2.303, I 63, hkl 0 1 5
- d 2.227, I 23, hkl 0 0 10
- d 2.178, I 100, hkl 1 0 6
- d 1.553, I 45, hkl 1 1 0
- d 1.528, I 25, hkl 1 0 12
- d 1.274, I 23, hkl 1 1 10

Atomic structure:
```
data_Si2Mo8C3N3
_chemical_formula_sum 'Si2 Mo8 C3 N3'
_cell_length_a 3.1069
_cell_length_b 3.1069
_cell_length_c 22.2686
_cell_angle_alpha 90.00
_cell_angle_beta 90.00
_cell_angle_gamma 120.00
_space_group_name_H-M_alt 'P -3 m 1'
_space_group_IT_number 164
_space_group_name_Hall '-P 3 2"'
loop_
_atom_site_label
_atom_site_type_symbol
_atom_site_fract_x
_atom_site_fract_y
_atom_site_fract_z
Si1 Si 0.3333 0.6667 0.2526
Mo1 Mo 0.0000 0.0000 0.1635
Mo2 Mo 0.0000 0.0000 0.3362
Mo3 Mo 0.3333 0.6667 0.0592
Mo4 Mo 0.3333 0.6667 0.4493
C1 C 0.0000 0.0000 0.0000
C2 C 0.3333 0.6667 0.8850
N1 N 0.0000 0.0000 0.5000
N2 N 0.3333 0.6667 0.6088
```

---

# Zn2Mo4CN
Simulated PXRD pattern, a wavelength of 1.5418 Å. Input: DFT lattice parameters and positions (GGA-PBE).

Top 10 peaks for 15° ≤ 2θ ≤ 90°, by angle:
- d 2.551, I 21, hkl 1 0 0
- d 2.330, I 22, hkl 0 0 6
- d 2.238, I 100, hkl 1 0 3
- d 1.720, I 16, hkl 0 1 6
- d 1.573, I 3, hkl 1 0 7
- d 1.473, I 18, hkl 1 1 0
- d 1.327, I 15, hkl 1 0 9
- d 1.245, I 17, hkl 1 1 6
- d 1.230, I 14, hkl 0 2 3
- d 1.119, I 4, hkl 2 0 6

Atomic structure:
```
data_Zn2Mo4CN
_chemical_formula_sum 'Zn2 Mo4 C1 N1'
_cell_length_a 2.9457
_cell_length_b 2.9457
_cell_length_c 13.9794
_cell_angle_alpha 90.00
_cell_angle_beta 90.00
_cell_angle_gamma 120.00
_space_group_name_H-M_alt 'P -3 m 1'
_space_group_IT_number 164
_space_group_name_Hall '-P 3 2"'
loop_
_atom_site_label
_atom_site_type_symbol
_atom_site_fract_x
_atom_site_fract_y
_atom_site_fract_z
Zn1 Zn 0.3333 0.6667 0.2516
Mo1 Mo 0.3333 0.6667 0.5889
Mo2 Mo 0.3333 0.6667 0.9062
C1 C 0.0000 0.0000 0.5000
N1 N 0.0000 0.0000 0.0000
```

---

# ZnMo3CN
Simulated PXRD pattern, a wavelength of 1.5418 Å. Input: DFT lattice parameters and positions (GGA-PBE).

Top 10 peaks for 15° ≤ 2θ ≤ 90°, by angle:
- d 2.632, I 27, hkl 1 0 1
- d 2.439, I 13, hkl 1 0 3
- d 2.301, I 100, hkl 0 1 4
- d 2.293, I 26, hkl 0 0 8
- d 2.153, I 27, hkl 1 0 5
- d 1.867, I 6, hkl 0 1 7
- d 1.618, I 12, hkl 0 1 9
- d 1.535, I 27, hkl 1 1 0
- d 1.325, I 18, hkl 0 1 12
- d 1.276, I 38, hkl 1 1 8

Atomic structure:
```
data_ZnMo3CN
_chemical_formula_sum 'Zn2 Mo6 C2 N2'
_cell_length_a 3.0707
_cell_length_b 3.0707
_cell_length_c 18.3440
_cell_angle_alpha 90.00
_cell_angle_beta 90.00
_cell_angle_gamma 120.00
_space_group_name_H-M_alt 'P -3 m 1'
_space_group_IT_number 164
_space_group_name_Hall '-P 3 2"'
loop_
_atom_site_label
_atom_site_type_symbol
_atom_site_fract_x
_atom_site_fract_y
_atom_site_fract_z
Zn1 Zn 0.0000 0.0000 0.2477
Mo1 Mo 0.0000 0.0000 0.0000
Mo2 Mo 0.0000 0.0000 0.5000
Mo3 Mo 0.3333 0.6667 0.1287
Mo4 Mo 0.3333 0.6667 0.3680
C1 C 0.3333 0.6667 0.5716
N1 N 0.3333 0.6667 0.9307
```

---

# Nb4Ni3Mo2C3
Simulated PXRD pattern, a wavelength of 1.5418 Å. Input: DFT lattice parameters and positions (GGA-PBE).

Top 10 peaks for 15° ≤ 2θ ≤ 90°, by angle:
- d 2.694, I 37, hkl 3 1 -1
- d 2.635, I 10, hkl 3 1 -2
- d 2.273, I 100, hkl 0 2 3
- d 2.267, I 50, hkl 3 1 -4
- d 2.110, I 21, hkl 0 0 6
- d 1.556, I 21, hkl 3 3 -1
- d 1.553, I 10, hkl 6 0 -2
- d 1.283, I 7, hkl 6 2 1
- d 1.253, I 9, hkl 6 0 4
- d 1.248, I 8, hkl 0 2 9

Atomic structure:
```
data_Nb4Ni3Mo2C3
_chemical_formula_sum 'Nb16 Ni12 Mo8 C12'
_cell_length_a 9.319
_cell_length_b 5.395
_cell_length_c 13.028
_cell_angle_alpha 90.00
_cell_angle_beta 103.63
_cell_angle_gamma 90.00
_space_group_name_H-M_alt 'C 1 2/c 1'
_space_group_IT_number 15
loop_
_space_group_symop_operation_xyz
'x,y,z'
'-x,-y,-z'
'-x,y,-z+1/2'
'x,-y,z+1/2'
'x+1/2,y+1/2,z'
'-x+1/2,-y+1/2,-z'
'-x+1/2,y+1/2,-z+1/2'
'x+1/2,-y+1/2,z+1/2'
loop_
_atom_site_label
_atom_site_type_symbol
_atom_site_fract_x
_atom_site_fract_y
_atom_site_fract_z
Nb1 Nb 0.116 0.082 0.102
Nb2 Nb 0.215 0.086 0.398
Ni1 Ni 0.000 0.135 0.750
Ni2 Ni 0.142 0.441 0.249
Mo1 Mo 0.058 0.415 0.917
C1 C 0.086 0.243 0.500
C2 C 0.250 0.250 0.000
```